[1]
The following is a theoretical powder X-ray diffraction pattern of Er3Ga. It was derived from a crystal structure in the Materials Project, relaxed with GGA-PBE, using a wavelength of 1.5418 Å.

Most intense lines, 10 to 80 degrees two-theta, sorted by position:
- 18.99°, rel. 8
- 26.98°, rel. 7
- 33.21°, rel. 100
- 38.53°, rel. 50
- 43.30°, rel. 4
- 47.67°, rel. 3
- 55.63°, rel. 35
- 59.33°, rel. 2
- 66.35°, rel. 41
- 69.71°, rel. 12

Cell and atoms:
a = 4.6729 Å, b = 4.6729 Å, c = 4.6729 Å
α = 90.00°, β = 90.00°, γ = 90.00°
Space group Pm-3m (No. 221)
One atom of each set of equivalent atoms:
Er  0.0000  0.0000  0.5000 x3
Ga  0.5000  0.5000  0.5000 x1



[2]
The following is a theoretical powder X-ray diffraction pattern of Zn6B3HO11. It was derived from a crystal structure in the Materials Project, relaxed with GGA-PBE, using a wavelength of 1.5418 Å.

Most intense lines, 10 to 80 degrees two-theta, sorted by position:
- 14.03°, rel. 38
- 18.25°, rel. 41
- 21.42°, rel. 60
- 25.70°, rel. 51
- 28.28°, rel. 100
- 29.78°, rel. 49
- 33.69°, rel. 48
- 36.98°, rel. 46
- 42.99°, rel. 54
- 56.24°, rel. 37

Cell and atoms:
a = 8.2968 Å, b = 8.2968 Å, c = 26.4085 Å
α = 90.00°, β = 90.00°, γ = 120.00°
Space group R3c (No. 161, hexagonal axes)
One atom of each set of equivalent atoms:
Zn  0.0638  0.5064  0.0000 x18
Zn  0.1666  0.3861  0.1090 x18
B  0.0006  0.4787  0.8876 x18
H  0.0000  0.0000  0.3962 x6
O  0.0000  0.0000  0.3425 x6
O  0.0000  0.0000  0.4369 x6
O  0.9998  0.3546  0.3875 x18
O  0.0195  0.4038  0.8426 x18
O  0.0711  0.3516  0.2663 x18



[3]
The following is a theoretical powder X-ray diffraction pattern of Li3TlPCO7. It was derived from a crystal structure in the Materials Project, relaxed with GGA-PBE, using a wavelength of 1.5418 Å.

Most intense lines, 10 to 80 degrees two-theta, sorted by position:
- 16.32°, rel. 100
- 16.97°, rel. 94
- 20.42°, rel. 43
- 23.85°, rel. 26
- 25.62°, rel. 61
- 26.27°, rel. 20
- 27.07°, rel. 24
- 30.87°, rel. 48
- 40.51°, rel. 22
- 43.84°, rel. 23

Cell and atoms:
a = 5.2279 Å, b = 6.9553 Å, c = 8.7004 Å
α = 90.00°, β = 91.71°, γ = 90.00°
Space group P2_1 (No. 4)
One atom of each set of equivalent atoms:
Li  0.0028  0.0000  0.1581 x2
Li  0.0790  0.1653  0.5097 x2
Li  0.4484  0.1907  0.0010 x2
Tl  0.4929  0.4299  0.3077 x2
P  0.4930  0.4429  0.7013 x2
C  0.0080  0.9513  0.8606 x2
O  0.0231  0.9761  0.7109 x2
O  0.1950  0.9879  0.9556 x2
O  0.2029  0.3848  0.0839 x2
O  0.2444  0.0208  0.3488 x2
O  0.3063  0.3970  0.5615 x2
O  0.3580  0.5969  0.8032 x2
O  0.4640  0.7568  0.2027 x2



[4]
The following is a theoretical powder X-ray diffraction pattern of NaHo3. It was derived from a crystal structure in the Materials Project, relaxed with GGA-PBE, using a wavelength of 1.5418 Å.

Most intense lines, 10 to 80 degrees two-theta, sorted by position:
- 16.65°, rel. 8
- 20.13°, rel. 21
- 31.03°, rel. 100
- 33.67°, rel. 20
- 37.10°, rel. 31
- 50.96°, rel. 25
- 53.47°, rel. 11
- 58.58°, rel. 16
- 63.12°, rel. 26
- 64.69°, rel. 12

Cell and atoms:
a = 4.8468 Å, b = 4.8468 Å, c = 10.6469 Å
α = 90.00°, β = 90.00°, γ = 90.00°
Space group I4/mmm (No. 139)
One atom of each set of equivalent atoms:
Na  0.0000  0.0000  0.0000 x2
Ho  0.0000  0.0000  0.5000 x2
Ho  0.0000  0.5000  0.2500 x4



[5]
The following is a theoretical powder X-ray diffraction pattern of YZr5O11. It was derived from a crystal structure in the Materials Project, relaxed with GGA-PBE, using a wavelength of 1.5418 Å.

Most intense lines, 10 to 80 degrees two-theta, sorted by position:
- 28.86°, rel. 53
- 29.52°, rel. 50
- 30.12°, rel. 100
- 33.75°, rel. 19
- 34.69°, rel. 30
- 48.72°, rel. 56
- 49.61°, rel. 35
- 51.05°, rel. 18
- 58.15°, rel. 21
- 59.73°, rel. 17

Cell and atoms:
a = 6.5706 Å, b = 3.5778 Å, c = 9.0769 Å
α = 90.00°, β = 90.26°, γ = 90.00°
Space group Pm (No. 6)
One atom of each set of equivalent atoms:
Y  0.0000  0.0000  0.0000 x1
Zr  0.1587  0.5000  0.3351 x1
Zr  0.3519  0.0000  0.6660 x1
Zr  0.4841  0.5000  0.0007 x1
Zr  0.6746  0.0000  0.3288 x1
Zr  0.8337  0.5000  0.6627 x1
O  0.1942  0.5000  0.1019 x1
O  0.2025  0.5000  0.6110 x1
O  0.2989  0.0000  0.4022 x1
O  0.3122  0.0000  0.8934 x1
O  0.5377  0.5000  0.2580 x1
O  0.5562  0.5000  0.7723 x1
O  0.6322  0.0000  0.5601 x1
O  0.6469  0.0000  0.0527 x1
O  0.8702  0.5000  0.4355 x1
O  0.9434  0.0000  0.7482 x1
O  0.9634  0.0000  0.2454 x1



[6]
The following is a theoretical powder X-ray diffraction pattern of Be2TlF5. It was derived from a crystal structure in the Materials Project, relaxed with GGA-PBE, using a wavelength of 1.5418 Å.

Most intense lines, 10 to 80 degrees two-theta, sorted by position:
- 13.81°, rel. 58
- 21.76°, rel. 81
- 25.65°, rel. 43
- 25.79°, rel. 41
- 25.98°, rel. 100
- 27.82°, rel. 34
- 35.74°, rel. 30
- 38.17°, rel. 39
- 40.56°, rel. 26
- 40.92°, rel. 24

Cell and atoms:
a = 8.1817 Å, b = 4.7084 Å, c = 12.8300 Å
α = 90.00°, β = 90.87°, γ = 90.00°
Space group P2/c (No. 13)
One atom of each set of equivalent atoms:
Be  0.1673  0.0243  0.2022 x4
Be  0.3306  0.4745  0.7926 x4
Tl  0.0000  0.5000  0.0000 x2
Tl  0.5000  0.0000  0.0000 x2
F  0.0000  0.0749  0.7500 x2
F  0.1697  0.0097  0.5846 x4
F  0.1939  0.3463  0.2338 x4
F  0.3073  0.1542  0.7576 x4
F  0.3233  0.4976  0.4102 x4
F  0.5000  0.4210  0.2500 x2



Copy entry 2 word for word.
The following is a theoretical powder X-ray diffraction pattern of Zn6B3HO11. It was derived from a crystal structure in the Materials Project, relaxed with GGA-PBE, using a wavelength of 1.5418 Å.

Most intense lines, 10 to 80 degrees two-theta, sorted by position:
- 14.03°, rel. 38
- 18.25°, rel. 41
- 21.42°, rel. 60
- 25.70°, rel. 51
- 28.28°, rel. 100
- 29.78°, rel. 49
- 33.69°, rel. 48
- 36.98°, rel. 46
- 42.99°, rel. 54
- 56.24°, rel. 37

Cell and atoms:
a = 8.2968 Å, b = 8.2968 Å, c = 26.4085 Å
α = 90.00°, β = 90.00°, γ = 120.00°
Space group R3c (No. 161, hexagonal axes)
One atom of each set of equivalent atoms:
Zn  0.0638  0.5064  0.0000 x18
Zn  0.1666  0.3861  0.1090 x18
B  0.0006  0.4787  0.8876 x18
H  0.0000  0.0000  0.3962 x6
O  0.0000  0.0000  0.3425 x6
O  0.0000  0.0000  0.4369 x6
O  0.9998  0.3546  0.3875 x18
O  0.0195  0.4038  0.8426 x18
O  0.0711  0.3516  0.2663 x18